Diffraction record for PuBrCl2. The X-ray powder pattern is calculated, not measured: it uses a DFT-relaxed cell (PBE, Alexandria) and Cu Kα, 1.54184 Å.
Kinematic intensities with the Lorentz-polarization factor, no thermal factor.

Structure:
```
data_PuBrCl2
_cell_length_a 7.765
_cell_length_b 11.897
_cell_length_c 7.246
_cell_angle_alpha 90.00
_cell_angle_beta 117.55
_cell_angle_gamma 90.00
_symmetry_space_group_name_H-M 'C 1 c 1'
_symmetry_Int_Tables_number 9
_symmetry_space_group_name_Hall 'C -2yc'
loop_
_atom_site_label
_atom_site_fract_x
_atom_site_fract_y
_atom_site_fract_z
Pu1 0.000 0.091 0.000
Br1 0.271 0.417 0.717
Cl1 0.206 0.068 0.786
Cl2 0.254 0.250 0.244
```

The 12 most intense peaks (2θ from 15° to 90°), by angle:
- 2θ 15.72, I = 40
- 2θ 20.35, I = 100
- 2θ 24.10, I = 25
- 2θ 27.50, I = 24
- 2θ 27.88, I = 53
- 2θ 32.26, I = 84
- 2θ 33.19, I = 21
- 2θ 36.88, I = 32
- 2θ 40.07, I = 34
- 2θ 40.88, I = 26
- 2θ 41.89, I = 34
- 2θ 44.38, I = 28